The following is a calculated XRD peak list of DyGeAu. It was derived from a GGA-PBE-relaxed structure, using Cu Ka.
Intensities are scaled so that the largest is 100.

Crystal structure
abc: 4.4806 4.4806 7.3292
angles: 90.00 90.00 120.00
Space group P6_3mc (No. 186)
One atom of each set of equivalent atoms:
Dy: 0.0000 0.0000 0.0000 (multiplicity 2)
Ge: 0.3333 0.6667 0.2918 (multiplicity 2)
Au: 0.3333 0.6667 0.7090 (multiplicity 2)

Peak list (10 most intense, 2θ = 5–70°, most intense first)
index, d [Å], Rel. int.
1 0 2, 2.664, 100
1 1 0, 2.240, 73
1 0 1, 3.429, 34
2 0 2, 1.715, 27
2 1 2, 1.362, 25
1 0 3, 2.067, 21
1 1 4, 1.418, 19
1 0 5, 1.371, 9
2 0 3, 1.519, 8
0 0 4, 1.832, 7